Record 1
Starting from a crystal structure in Alexandria, relaxed with PBE, the powder diffractogram of Y3PuRu2 was computed for λ = 1.5418 Å (Cu Kα).
Peak positions follow from Bragg's law for the DFT cell and can differ from measured ones.

Crystal structure
Cell lengths 6.6714, 13.3975, 7.1498 Å; angles 90.00, 90.00, 90.00 degrees
Space group Ibam (No. 72)
Unique sites:
Y: 0.0000 0.0000 0.2500 x4
Y: 0.0000 0.2653 0.2500 x8
Pu: 0.0000 0.5000 0.0000 x4
Ru: 0.2403 0.1261 0.0000 x8

Most intense lines, 2θ from 5° to 70°, in order of rising 2θ:
| hkl | 2θ (°) | I_rel |
| --- | --- | --- |
| 0 2 0 | 13.2 | 24.8 |
| 1 1 0 | 14.8 | 43.6 |
| 1 2 1 | 22.5 | 69.7 |
| 0 2 2 | 28.3 | 45.6 |
| 1 1 2 | 29.1 | 74.4 |
| 1 3 2 | 34.8 | 77.8 |
| 2 0 2 | 36.8 | 25.2 |
| 2 4 0 | 38.1 | 100.0 |
| 2 2 2 | 39.3 | 39.7 |
| 2 4 4 | 65.5 | 40.2 |



Record 2
Starting from a crystal structure in Alexandria, relaxed with PBE, the powder diffractogram of LaSm6Y2 was computed for λ = 1.5418 Å (Cu Kα).
Peak positions follow from Bragg's law for the DFT cell and can differ from measured ones.

Crystal structure
Cell lengths 7.5079, 7.5079, 6.2215 Å; angles 90.00, 90.00, 120.00 degrees
Space group P-3m1 (No. 164)
Unique sites:
La: 0.0000 0.0000 0.0000 x1
Sm: 0.1861 0.3722 0.7056 x6
Y: 0.3333 0.6667 0.2140 x2

Most intense lines, 2θ from 5° to 70°, in order of rising 2θ:
| hkl | 2θ (°) | I_rel |
| --- | --- | --- |
| 1 0 1 | 19.7 | 15.4 |
| 2 0 0 | 27.4 | 12.7 |
| 0 0 2 | 28.7 | 16.2 |
| 2 0 1 | 31.0 | 100.0 |
| 0 1 2 | 31.9 | 11.8 |
| 2 1 0 | 36.6 | 14.7 |
| 0 2 2 | 40.1 | 27.7 |
| 2 2 0 | 48.5 | 20.7 |
| 2 0 3 | 52.3 | 11.4 |
| 0 4 1 | 58.7 | 12.4 |



Record 3
Starting from a crystal structure in Alexandria, relaxed with PBE, the powder diffractogram of PrDy2Ru9 was computed for λ = 1.5418 Å (Cu Kα).
Peak positions follow from Bragg's law for the DFT cell and can differ from measured ones.

Crystal structure
Cell lengths 5.3137, 5.3137, 26.0443 Å; angles 90.00, 90.00, 120.00 degrees
Space group R-3m (No. 166, hexagonal axes)
Unique sites:
Pr: 0.0000 0.0000 0.0000 x3
Dy: 0.0000 0.0000 0.1398 x6
Ru: 0.0000 0.0000 0.3387 x6
Ru: 0.0000 0.0000 0.5000 x3
Ru: 0.0118 0.5059 0.9165 x18

Most intense lines, 2θ from 5° to 70°, in order of rising 2θ:
| hkl | 2θ (°) | I_rel |
| --- | --- | --- |
| 1 0 7 | 30.9 | 19.7 |
| 1 1 0 | 33.7 | 62.6 |
| 0 2 1 | 39.3 | 28.9 |
| 1 1 6 | 39.8 | 100.0 |
| 0 0 12 | 41.6 | 28.4 |
| 2 0 5 | 43.0 | 33.5 |
| 0 2 7 | 46.4 | 7.8 |
| 3 0 0 | 60.3 | 15.2 |
| 1 1 15 | 64.1 | 7.3 |
| 2 0 14 | 64.4 | 33.7 |